Simulated XRD peak list
Compound: Pm11Tl9Rh4
Radiation: Cu Ka
Structure: a GGA-PBE-relaxed structure

Top 10 peaks for 10 to 90 degrees two-theta, sorted by position:
2θ/deg, d_spacing, intensity
29.79, 2.999, 12
31.43, 2.846, 10
31.92, 2.804, 13
33.61, 2.666, 100
33.89, 2.645, 45
35.79, 2.509, 10
36.60, 2.455, 12
36.85, 2.439, 13
47.85, 1.901, 17
59.92, 1.544, 18

Structure:
```
data_Pm11Tl9Rh4
_symmetry_space_group_name_H-M 'P 1'
_symmetry_Int_Tables_number 1
_cell_length_a 13.4774
_cell_length_b 13.4774
_cell_length_c 3.8016
_cell_angle_alpha 90.00
_cell_angle_beta 90.00
_cell_angle_gamma 112.40
loop_
_symmetry_equiv_pos_as_xyz
'x,y,z'
loop_
_atom_site_label
_atom_site_fract_x
_atom_site_fract_y
_atom_site_fract_z
_atom_site_occupancy
Pm1 0.0000 0.0000 0.0000 1
Pm2 0.0815 0.4172 0.0000 1
Pm3 0.1629 0.8371 0.0000 1
Pm4 0.3121 0.3121 0.0000 1
Pm5 0.3739 0.6261 0.0000 1
Pm6 0.4172 0.0815 0.0000 1
Pm7 0.5828 0.9185 0.0000 1
Pm8 0.6261 0.3739 0.0000 1
Pm9 0.6879 0.6879 0.0000 1
Pm10 0.8371 0.1629 0.0000 1
Pm11 0.9185 0.5828 0.0000 1
Tl1 0.0739 0.2174 0.5000 1
Tl2 0.1561 0.6316 0.5000 1
Tl3 0.2174 0.0739 0.5000 1
Tl4 0.3684 0.8439 0.5000 1
Tl5 0.5000 0.5000 0.5000 1
Tl6 0.6316 0.1561 0.5000 1
Tl7 0.7826 0.9261 0.5000 1
Tl8 0.8439 0.3684 0.5000 1
Tl9 0.9261 0.7826 0.5000 1
Rh1 0.2473 0.4492 0.5000 1
Rh2 0.4492 0.2473 0.5000 1
Rh3 0.5508 0.7527 0.5000 1
Rh4 0.7527 0.5508 0.5000 1
```